(1)
Er2Fe14Si3: theoretical PXRD pattern (Cu Kα, 1.54184 Å), based on a structure optimized by DFT (PBE).
Neutral-atom scattering factors, no anomalous dispersion.

Peak list (10 most intense, 5 to 70 degrees two-theta, most intense first)
2θ (°), intensity
43.9, 100
37.6, 51
43.7, 44
30.8, 35
41.7, 27
44.4, 26
33.3, 15
47.3, 14
64.1, 12
63.7, 11

Structural model:
Cell lengths 8.2808, 8.2808, 8.1603 Å; angles 90.00, 90.00, 120.00 degrees
Space group P6_3/mmc (No. 194)
Asymmetric unit:
Er1 0.0000 0.0000 0.2500 x2
Er2 0.3333 0.6667 0.2500 x2
Fe1 0.0291 0.3581 0.7500 x12
Fe2 0.1674 0.3348 0.0148 x12
Fe3 0.3333 0.6667 0.6102 x4
Si1 0.0000 0.5000 0.0000 x6

=====

(2)
Er5FeTe3: theoretical PXRD pattern (Cu Kα, 1.54184 Å), based on a structure optimized by DFT (PBE).
Neutral-atom scattering factors, no anomalous dispersion.

Peak list (10 most intense, 5 to 70 degrees two-theta, most intense first)
2θ (°), intensity
32.1, 100
32.3, 85
34.4, 57
40.6, 55
36.8, 35
60.0, 29
63.3, 28
60.4, 25
49.1, 19
57.6, 15

Structural model:
Cell lengths 8.4633, 8.4633, 3.7107 Å; angles 90.00, 90.00, 120.00 degrees
Space group P-62m (No. 189)
Asymmetric unit:
Er1 0.0000 0.2250 0.0000 x3
Er2 0.3333 0.6667 0.0000 x2
Fe1 0.0000 0.0000 0.5000 x1
Te1 0.0000 0.6114 0.5000 x3